Li5FeO4: calculated powder X-ray diffraction pattern (λ = 1.5418 Å (Cu Kα)), based on DFT lattice parameters and positions (GGA+U).

Top 8 peaks for 5 to 70 degrees two-theta, sorted by position:
16.58°, intensity 25; 21.25°, intensity 100; 24.38°, intensity 28; 26.30°, intensity 34; 31.48°, intensity 39; 33.52°, intensity 42; 45.69°, intensity 33; 58.65°, intensity 31

Structure:
```
data_Li5FeO4
_chemical_formula_sum 'Li20 Fe4 O16'
_symmetry_space_group_name_H-M 'P 1'
_symmetry_Int_Tables_number 1
_cell_length_a 6.711
_cell_length_b 7.851
_cell_length_c 7.301
_cell_angle_alpha 90.00
_cell_angle_beta 90.00
_cell_angle_gamma 90.00
loop_
_symmetry_equiv_pos_as_xyz
'x,y,z'
loop_
_atom_site_label
_atom_site_type_symbol
_atom_site_fract_x
_atom_site_fract_y
_atom_site_fract_z
Li1 Li 0.000 0.000 0.182
Li2 Li 0.000 0.000 0.818
Li3 Li 0.021 0.347 0.239
Li4 Li 0.021 0.347 0.761
Li5 Li 0.189 0.518 0.500
Li6 Li 0.228 0.836 0.500
Li7 Li 0.272 0.336 0.000
Li8 Li 0.311 0.018 0.000
Li9 Li 0.479 0.847 0.261
Li10 Li 0.479 0.847 0.739
Li11 Li 0.500 0.500 0.318
Li12 Li 0.500 0.500 0.682
Li13 Li 0.521 0.153 0.261
Li14 Li 0.521 0.153 0.739
Li15 Li 0.689 0.982 0.000
Li16 Li 0.728 0.664 0.000
Li17 Li 0.772 0.164 0.500
Li18 Li 0.811 0.482 0.500
Li19 Li 0.979 0.653 0.239
Li20 Li 0.979 0.653 0.761
Fe1 Fe 0.249 0.163 0.500
Fe2 Fe 0.251 0.663 0.000
Fe3 Fe 0.749 0.337 0.000
Fe4 Fe 0.751 0.837 0.500
O1 O 0.005 0.793 0.000
O2 O 0.016 0.301 0.500
O3 O 0.235 0.514 0.206
O4 O 0.235 0.514 0.794
O5 O 0.265 0.014 0.294
O6 O 0.265 0.014 0.706
O7 O 0.484 0.801 0.000
O8 O 0.495 0.293 0.500
O9 O 0.505 0.707 0.500
O10 O 0.516 0.199 0.000
O11 O 0.735 0.986 0.294
O12 O 0.735 0.986 0.706
O13 O 0.765 0.486 0.206
O14 O 0.765 0.486 0.794
O15 O 0.984 0.699 0.500
O16 O 0.995 0.207 0.000
```